1.
The following is a theoretical powder XRD pattern of CaTeO3. It was derived from DFT lattice parameters and positions (PBE), using Cu Kα (λ = 1.5418 Å).

Structure:
a = 8.2349 Å, b = 6.5513 Å, c = 13.7776 Å
α = 90.00°, β = 90.00°, γ = 90.00°
Positions (direct):
Ca  0.0870  0.1096  0.0000
Ca  0.1877  0.6111  0.9375
Ca  0.3123  0.6111  0.4375
Ca  0.4130  0.1096  0.5000
Ca  0.5870  0.8904  0.0000
Ca  0.6877  0.3889  0.9375
Ca  0.8123  0.3889  0.4375
Ca  0.9130  0.8904  0.5000
Te  0.0558  0.4120  0.6305
Te  0.1689  0.0906  0.3082
Te  0.3311  0.0906  0.8082
Te  0.4442  0.4120  0.1305
Te  0.5558  0.5880  0.6305
Te  0.6689  0.9094  0.3082
Te  0.8311  0.9094  0.8082
Te  0.9442  0.5880  0.1305
O  0.0354  0.7908  0.8276
O  0.0527  0.5683  0.5134
O  0.0768  0.7956  0.0775
O  0.1739  0.9352  0.4266
O  0.1884  0.2935  0.8571
O  0.2343  0.3026  0.1140
O  0.2657  0.3026  0.6140
O  0.3116  0.2935  0.3571
O  0.3261  0.9352  0.9266
O  0.4232  0.7956  0.5775
O  0.4473  0.5683  0.0134
O  0.4646  0.7908  0.3276
O  0.5354  0.2092  0.8276
O  0.5527  0.4317  0.5134
O  0.5768  0.2044  0.0775
O  0.6739  0.0648  0.4266
O  0.6884  0.7065  0.8571
O  0.7343  0.6974  0.1140
O  0.7657  0.6974  0.6140
O  0.8116  0.7065  0.3571
O  0.8261  0.0648  0.9266
O  0.9232  0.2044  0.5775
O  0.9473  0.4317  0.0134
O  0.9646  0.2092  0.3276

The 6 most intense peaks (10 to 90 degrees two-theta), in order of rising 2θ:
18.69 deg, I 100
25.20 deg, I 41
26.05 deg, I 45
26.37 deg, I 62
29.13 deg, I 42
29.30 deg, I 45


2.
The following is a theoretical powder XRD pattern of Ca4Ti5Te3O18. It was derived from DFT lattice parameters and positions (PBE), using Cu Kα (λ = 1.5418 Å).

Structure:
a = 9.0098 Å, b = 9.0098 Å, c = 11.6520 Å
α = 94.31°, β = 94.31°, γ = 69.77°
Positions (direct):
Ca  0.1257  0.7725  0.9635
Ca  0.1434  0.4349  0.1408
Ca  0.2275  0.8743  0.5365
Ca  0.4349  0.1434  0.6408
Ca  0.5651  0.8566  0.3592
Ca  0.7725  0.1257  0.4635
Ca  0.8566  0.5651  0.8592
Ca  0.8743  0.2275  0.0365
Ti  0.0484  0.6248  0.4282
Ti  0.1891  0.5140  0.6851
Ti  0.3752  0.9516  0.0718
Ti  0.3781  0.6219  0.2500
Ti  0.4860  0.8109  0.8149
Ti  0.5140  0.1891  0.1851
Ti  0.6219  0.3781  0.7500
Ti  0.6248  0.0484  0.9282
Ti  0.8109  0.4860  0.3149
Ti  0.9516  0.3752  0.5718
Te  0.1501  0.1570  0.8517
Te  0.1570  0.1501  0.3517
Te  0.5000  0.5000  0.0000
Te  0.5000  0.5000  0.5000
Te  0.8430  0.8499  0.6483
Te  0.8499  0.8430  0.1483
O  0.0295  0.1515  0.4856
O  0.0484  0.4120  0.4122
O  0.0560  0.3447  0.9472
O  0.0765  0.6482  0.7987
O  0.1515  0.0295  0.9856
O  0.1585  0.3160  0.6548
O  0.1617  0.6321  0.3083
O  0.2383  0.5968  0.5498
O  0.2783  0.6011  0.0947
O  0.3160  0.1585  0.1548
O  0.3447  0.0560  0.4472
O  0.3518  0.9235  0.7013
O  0.3679  0.8383  0.1917
O  0.3907  0.4249  0.7395
O  0.3989  0.7217  0.4053
O  0.4032  0.7617  0.9502
O  0.4120  0.0484  0.9122
O  0.4249  0.3907  0.2395
O  0.5751  0.6093  0.7605
O  0.5880  0.9516  0.0878
O  0.5968  0.2383  0.0498
O  0.6011  0.2783  0.5947
O  0.6093  0.5751  0.2605
O  0.6321  0.1617  0.8083
O  0.6482  0.0765  0.2987
O  0.6553  0.9440  0.5528
O  0.6840  0.8415  0.8452
O  0.7217  0.3989  0.9053
O  0.7617  0.4032  0.4502
O  0.8383  0.3679  0.6917
O  0.8415  0.6840  0.3452
O  0.8485  0.9705  0.0144
O  0.9235  0.3518  0.2013
O  0.9440  0.6553  0.0528
O  0.9516  0.5880  0.5878
O  0.9705  0.8485  0.5144

The 6 most intense peaks (10 to 90 degrees two-theta), in order of rising 2θ:
20.04 deg, I 98
20.34 deg, I 68
26.76 deg, I 60
30.57 deg, I 100
31.82 deg, I 52
32.11 deg, I 57